The following is a computed X-ray diffraction stick pattern of SrTaRe2. It was derived from a cell relaxed with PBE, using copper Kα.
Peak positions follow from Bragg's law for the DFT cell and can differ from measured ones.

Most intense lines, 10° ≤ 2θ ≤ 80°, most intense first:
2θ = 13.15°, intensity 100.0, hkl 0 0 1; 2θ = 38.01°, intensity 79.8, hkl 1 1 -1; 2θ = 33.66°, intensity 68.4, hkl 0 1 2; 2θ = 36.70°, intensity 42.1, hkl 1 0 1; 2θ = 41.49°, intensity 35.4, hkl 0 2 0; 2θ = 45.47°, intensity 28.5, hkl 0 1 3; 2θ = 42.80°, intensity 24.7, hkl 1 1 -2; 2θ = 56.58°, intensity 24.4, hkl 1 2 1; 2θ = 69.70°, intensity 15.4, hkl 2 1 0; 2θ = 73.38°, intensity 11.8, hkl 1 3 -1

Crystal structure
a = 2.895 Å, b = 4.352 Å, c = 6.867 Å
α = 90.00°, β = 101.35°, γ = 90.00°
Space group P2/m (No. 10)
One atom of each set of equivalent atoms:
Sr 0.000 0.000 0.000 [1 per cell]
Ta 0.500 0.000 0.500 [1 per cell]
Re 0.244 0.500 0.671 [2 per cell]

=====

The following is a computed X-ray diffraction stick pattern of CaLa3Ir2. It was derived from a cell relaxed with PBE, using copper Kα.
Peak positions follow from Bragg's law for the DFT cell and can differ from measured ones.

Most intense lines, 10° ≤ 2θ ≤ 80°, most intense first:
2θ = 35.31°, intensity 100.0, hkl 0 4 2; 2θ = 21.58°, intensity 91.5, hkl 1 2 1; 2θ = 36.18°, intensity 51.8, hkl 2 4 0; 2θ = 33.49°, intensity 29.7, hkl 1 3 2; 2θ = 62.81°, intensity 20.7, hkl 2 4 4; 2θ = 40.99°, intensity 17.7, hkl 1 2 3; 2θ = 14.09°, intensity 15.7, hkl 1 1 0; 2θ = 12.63°, intensity 14.8, hkl 0 2 0; 2θ = 49.47°, intensity 13.8, hkl 0 0 4; 2θ = 66.43°, intensity 13.2, hkl 3 7 2

Crystal structure
a = 7.035 Å, b = 14.015 Å, c = 7.370 Å
α = 90.00°, β = 90.00°, γ = 90.00°
Space group Ibam (No. 72)
One atom of each set of equivalent atoms:
Ca 0.000 0.000 0.000 [4 per cell]
La 0.000 0.234 0.250 [8 per cell]
La 0.000 0.500 0.250 [4 per cell]
Ir 0.207 0.360 0.000 [8 per cell]

=====

The following is a computed X-ray diffraction stick pattern of Hf2Ni3Rh. It was derived from a cell relaxed with PBE, using copper Kα.
Peak positions follow from Bragg's law for the DFT cell and can differ from measured ones.

Most intense lines, 10° ≤ 2θ ≤ 80°, most intense first:
2θ = 27.16°, intensity 100.0, hkl 2 0 2; 2θ = 37.98°, intensity 77.2, hkl 3 2 1; 2θ = 41.03°, intensity 71.6, hkl 4 0 0; 2θ = 46.34°, intensity 71.3, hkl 3 2 3; 2θ = 47.03°, intensity 51.3, hkl 2 2 4; 2θ = 31.83°, intensity 42.0, hkl 3 0 1; 2θ = 42.01°, intensity 39.8, hkl 2 0 4; 2θ = 36.45°, intensity 27.8, hkl 0 0 4; 2θ = 75.41°, intensity 25.5, hkl 6 0 4; 2θ = 52.84°, intensity 24.6, hkl 4 3 1

Crystal structure
a = 8.800 Å, b = 8.800 Å, c = 9.860 Å
α = 90.00°, β = 90.00°, γ = 90.00°
Space group I4_1/amd (No. 141, origin choice 2)
One atom of each set of equivalent atoms:
Hf 0.000 0.061 0.240 [16 per cell]
Ni 0.000 0.000 0.500 [8 per cell]
Ni 0.248 0.002 0.375 [16 per cell]
Rh 0.000 0.250 0.024 [8 per cell]

=====

The following is a computed X-ray diffraction stick pattern of Ni3RuRh2. It was derived from a cell relaxed with PBE, using copper Kα.
Peak positions follow from Bragg's law for the DFT cell and can differ from measured ones.

Most intense lines, 10° ≤ 2θ ≤ 80°, most intense first:
2θ = 42.36°, intensity 100.0, hkl 0 0 3; 2θ = 42.47°, intensity 99.7, hkl 1 1 1; 2θ = 48.67°, intensity 66.0, hkl 1 1 -2; 2θ = 72.97°, intensity 37.2, hkl 1 1 4; 2θ = 50.77°, intensity 29.0, hkl 2 0 2; 2θ = 24.75°, intensity 11.6, hkl 1 0 1; 2θ = 71.45°, intensity 10.1, hkl 0 2 0; 2θ = 71.14°, intensity 9.9, hkl 2 0 -4; 2θ = 55.36°, intensity 5.2, hkl 0 1 3; 2θ = 33.95°, intensity 5.1, hkl 0 1 0

Crystal structure
a = 4.469 Å, b = 2.641 Å, c = 6.404 Å
α = 90.00°, β = 92.25°, γ = 90.00°
Space group P2/m (No. 10)
One atom of each set of equivalent atoms:
Ni 0.000 0.000 0.000 [1 per cell]
Ni 0.326 0.000 0.669 [2 per cell]
Ru 0.500 0.500 0.000 [1 per cell]
Rh 0.175 0.500 0.330 [2 per cell]